For Pm3Pr6Tm, the GGA-PBE geometry in Alexandria gives the simulated powder diffractogram in this record (Cu Kα).
Kinematic intensities with the Lorentz-polarization factor, no thermal factor.

Peak list (10 most intense, 15° ≤ 2θ ≤ 90°, by angle)
d (Å)  I/Imax
3.204  38
3.191  57
3.166  46
3.103  28
2.911  100
2.877  49
2.818  23
2.707  64
2.676  29
1.556  23

Structural model:
Cell lengths 11.2004, 11.2004, 6.5541 Å; angles 90.00, 90.00, 120.94 degrees
Positions (direct):
Pm  0.1153  0.8847  0.5000
Pm  0.2108  0.4438  0.8832
Pm  0.4438  0.2108  0.3832
Pm  0.5562  0.7892  0.8832
Pm  0.7892  0.5562  0.3832
Pm  0.8847  0.1153  0.0000
Pr  0.0215  0.4397  0.2827
Pr  0.1286  0.2123  0.4761
Pr  0.2123  0.1286  0.9761
Pr  0.2214  0.7786  0.0752
Pr  0.4397  0.0215  0.7827
Pr  0.4657  0.5343  0.2861
Pr  0.5343  0.4657  0.7861
Pr  0.5603  0.9785  0.2827
Pr  0.7786  0.2214  0.5752
Pr  0.7877  0.8714  0.4761
Pr  0.8714  0.7877  0.9761
Pr  0.9785  0.5603  0.7827
Tm  0.3085  0.6915  0.5317
Tm  0.6915  0.3085  0.0317